(1)
Starting from the PBE geometry in Alexandria, the XRD peak list of Nd2Er7Tm2 was simulated for Cu Kα.
Peak positions follow from Bragg's law for the DFT cell and can differ from measured ones.

The 8 most intense peaks (2θ = 10–80°), by intensity:
d [Å]  intensity  (hkl)
2.768  100  2 2 1
2.858  48  0 4 0
2.650  39  2 2 -2
2.626  30  3 3 -1
2.895  28  1 1 -2
2.783  27  4 0 -1
3.454  22  3 1 -1
1.994  16  4 4 -1

```
data_Nd2Er7Tm2
_chemical_formula_sum 'Nd4 Er14 Tm4'
_cell_length_a 11.153
_cell_length_b 11.433
_cell_length_c 6.049
_cell_angle_alpha 90.00
_cell_angle_beta 113.90
_cell_angle_gamma 90.00
_symmetry_space_group_name_H-M 'C 1 2/m 1'
_symmetry_Int_Tables_number 12
_symmetry_space_group_name_Hall '-C 2y'
loop_
_atom_site_label
_atom_site_type_symbol
_atom_site_fract_x
_atom_site_fract_y
_atom_site_fract_z
_atom_site_occupancy
Nd1 Nd 0.090 0.000 0.305 1
Er1 Er 0.000 0.500 0.500 1
Er2 Er 0.175 0.263 0.681 1
Er3 Er 0.227 0.500 0.079 1
Tm1 Tm 0.000 0.287 0.000 1
```



(2)
Starting from the PBE geometry in Alexandria, the XRD peak list of Nd2Er2Tm5 was simulated for Cu Kα.
Peak positions follow from Bragg's law for the DFT cell and can differ from measured ones.

The 8 most intense peaks (2θ = 10–80°), by intensity:
d [Å]  intensity  (hkl)
2.461  100  5 1 1
2.977  77  3 1 -1
2.554  75  3 1 -2
2.958  69  4 0 2
2.708  69  2 0 -3
2.651  52  8 0 -1
3.177  41  1 1 -1
3.455  41  6 0 -1

```
data_Nd2Er2Tm5
_chemical_formula_sum 'Nd4 Er4 Tm10'
_cell_length_a 21.466
_cell_length_b 3.464
_cell_length_c 8.151
_cell_angle_alpha 90.00
_cell_angle_beta 100.02
_cell_angle_gamma 90.00
_symmetry_space_group_name_H-M 'C 1 2/m 1'
_symmetry_Int_Tables_number 12
_symmetry_space_group_name_Hall '-C 2y'
loop_
_atom_site_label
_atom_site_type_symbol
_atom_site_fract_x
_atom_site_fract_y
_atom_site_fract_z
_atom_site_occupancy
Nd1 Nd 0.181 0.000 0.143 1
Er1 Er 0.046 0.500 0.355 1
Tm1 Tm 0.000 0.000 0.000 1
Tm2 Tm 0.096 0.000 0.730 1
Tm3 Tm 0.191 0.500 0.530 1
```



(3)
Starting from the PBE geometry in Alexandria, the XRD peak list of Nd7Er3Tm was simulated for Cu Kα.
Peak positions follow from Bragg's law for the DFT cell and can differ from measured ones.

The 8 most intense peaks (2θ = 10–80°), by intensity:
d [Å]  intensity  (hkl)
2.855  100  2 2 2
2.767  77  0 6 2
2.844  48  2 4 0
2.797  40  0 0 4
1.994  28  2 4 4
1.610  25  0 6 6
1.491  24  4 6 2
1.979  15  2 8 0

```
data_Nd7Er3Tm
_chemical_formula_sum 'Nd28 Er12 Tm4'
_cell_length_a 7.082
_cell_length_b 19.097
_cell_length_c 11.189
_cell_angle_alpha 90.00
_cell_angle_beta 90.03
_cell_angle_gamma 90.00
_symmetry_space_group_name_H-M 'C 1 2/c 1'
_symmetry_Int_Tables_number 15
_symmetry_space_group_name_Hall '-C 2yc'
loop_
_atom_site_label
_atom_site_type_symbol
_atom_site_fract_x
_atom_site_fract_y
_atom_site_fract_z
_atom_site_occupancy
Nd1 Nd 0.000 0.160 0.250 1
Nd2 Nd 0.000 0.299 0.750 1
Nd3 Nd 0.000 0.338 0.250 1
Nd4 Nd 0.001 0.090 0.955 1
Nd5 Nd 0.001 0.415 0.518 1
Er1 Er 0.243 0.491 0.750 1
Er2 Er 0.250 0.250 0.000 1
Tm1 Tm 0.250 0.250 0.500 1
```



(4)
Starting from the PBE geometry in Alexandria, the XRD peak list of NdEr7Tm4 was simulated for Cu Kα.
Peak positions follow from Bragg's law for the DFT cell and can differ from measured ones.

The 8 most intense peaks (2θ = 10–80°), by intensity:
d [Å]  intensity  (hkl)
2.763  100  1 2 -1
2.627  91  1 2 2
2.824  51  0 0 3
3.046  37  1 -2 0
1.500  30  3 2 -2
1.772  26  3 2 1
1.649  21  1 2 -4
2.983  17  1 -2 1

```
data_NdEr7Tm4
_chemical_formula_sum 'Nd1 Er7 Tm4'
_cell_length_a 6.135
_cell_length_b 7.087
_cell_length_c 8.720
_cell_angle_alpha 89.90
_cell_angle_beta 76.34
_cell_angle_gamma 89.85
_symmetry_space_group_name_H-M 'P -1'
_symmetry_Int_Tables_number 2
_symmetry_space_group_name_Hall '-P 1'
loop_
_atom_site_label
_atom_site_type_symbol
_atom_site_fract_x
_atom_site_fract_y
_atom_site_fract_z
_atom_site_occupancy
Nd1 Nd 0.000 0.000 0.000 1
Er1 Er 0.000 0.500 0.000 1
Er2 Er 0.222 0.001 0.335 1
Er3 Er 0.279 0.748 0.664 1
Er4 Er 0.500 0.251 0.000 1
Tm1 Tm 0.221 0.500 0.335 1
Tm2 Tm 0.279 0.251 0.665 1
```



(5)
Starting from the PBE geometry in Alexandria, the XRD peak list of Nd2Er3Tm8 was simulated for Cu Kα.
Peak positions follow from Bragg's law for the DFT cell and can differ from measured ones.

The 8 most intense peaks (2θ = 10–80°), by intensity:
d [Å]  intensity  (hkl)
2.658  100  2 4 1
2.730  36  0 0 2
2.916  28  0 6 1
3.021  26  1 5 1
1.562  20  2 4 3
1.879  19  4 0 0
3.536  16  2 2 0
2.586  14  0 8 0

```
data_Nd2Er3Tm8
_chemical_formula_sum 'Nd4 Er6 Tm16'
_cell_length_a 7.525
_cell_length_b 20.690
_cell_length_c 5.461
_cell_angle_alpha 90.00
_cell_angle_beta 90.00
_cell_angle_gamma 90.00
_symmetry_space_group_name_H-M 'C m m m'
_symmetry_Int_Tables_number 65
_symmetry_space_group_name_Hall '-C 2 2'
loop_
_atom_site_label
_atom_site_type_symbol
_atom_site_fract_x
_atom_site_fract_y
_atom_site_fract_z
_atom_site_occupancy
Nd1 Nd 0.000 0.240 0.000 1
Er1 Er 0.000 0.000 0.000 1
Er2 Er 0.215 0.500 0.500 1
Tm1 Tm 0.000 0.128 0.500 1
Tm2 Tm 0.000 0.340 0.500 1
Tm3 Tm 0.214 0.393 0.000 1
```



(6)
Starting from the PBE geometry in Alexandria, the XRD peak list of Nd4Er3Tm4 was simulated for Cu Kα.
Peak positions follow from Bragg's law for the DFT cell and can differ from measured ones.

The 8 most intense peaks (2θ = 10–80°), by intensity:
d [Å]  intensity  (hkl)
2.907  100  1 1 1
2.524  34  1 0 6
1.521  29  2 1 7
1.778  24  1 2 -4
2.505  17  0 2 1
1.513  14  1 3 2
1.453  12  2 2 2
1.785  12  2 0 1

```
data_Nd4Er3Tm4
_chemical_formula_sum 'Nd4 Er3 Tm4'
_cell_length_a 3.569
_cell_length_b 5.010
_cell_length_c 19.869
_cell_angle_alpha 82.81
_cell_angle_beta 84.86
_cell_angle_gamma 89.99
_symmetry_space_group_name_H-M 'P -1'
_symmetry_Int_Tables_number 2
_symmetry_space_group_name_Hall '-P 1'
loop_
_atom_site_label
_atom_site_type_symbol
_atom_site_fract_x
_atom_site_fract_y
_atom_site_fract_z
_atom_site_occupancy
Nd1 Nd 0.090 0.091 0.320 1
Nd2 Nd 0.273 0.273 0.953 1
Er1 Er 0.000 0.000 0.500 1
Er2 Er 0.364 0.363 0.772 1
Tm1 Tm 0.181 0.182 0.139 1
Tm2 Tm 0.456 0.455 0.589 1
```